(1)
# Tb4TmTl4
Simulated powder diffractogram, Cu Kα. Input: a GGA-PBE-relaxed structure.

Structure:
```
data_Tb4TmTl4
_space_group_name_H-M_alt 'P 42/n'
_space_group_IT_number 86
_cell_length_a 9.3419
_cell_length_b 9.3419
_cell_length_c 5.9793
_cell_angle_alpha 90.00
_cell_angle_beta 90.00
_cell_angle_gamma 90.00
loop_
_space_group_symop_operation_xyz
'x,y,z'
'-x,-y,-z'
'-y,x+1/2,z+1/2'
'y,-x+1/2,-z+1/2'
'-x+1/2,-y+1/2,z'
'x+1/2,y+1/2,-z'
'y+1/2,-x,z+1/2'
'-y+1/2,x,-z+1/2'
loop_
_atom_site_label
_atom_site_type_symbol
_atom_site_fract_x
_atom_site_fract_y
_atom_site_fract_z
_atom_site_occupancy
Tb1 Tb 0.0867 0.8257 0.1266 1
Tm1 Tm 0.2500 0.2500 0.7500 1
Tl1 Tl 0.0428 0.1492 0.3663 1
```

Main lines, low angle first (10 to 90 degrees two-theta):
hkl 3 1 0, 2θ 30.25, d = 2.954 Å, I 100; hkl 2 2 1, 2θ 30.93, d = 2.891 Å, I 49; hkl 1 0 2, 2θ 31.42, d = 2.847 Å, I 61; hkl 3 0 1, 2θ 32.42, d = 2.762 Å, I 71; hkl 1 3 1, 2θ 33.84, d = 2.649 Å, I 28; hkl 2 1 2, 2θ 36.97, d = 2.431 Å, I 82; hkl 2 3 1, 2θ 37.84, d = 2.377 Å, I 64; hkl 5 0 2, 2θ 58.23, d = 1.584 Å, I 24; hkl 2 6 0, 2θ 62.92, d = 1.477 Å, I 23; hkl 5 4 1, 2θ 65.90, d = 1.417 Å, I 20

(2)
# AcGaB12
Simulated powder diffractogram, Cu Kα. Input: a GGA-PBE-relaxed structure.

Structure:
```
data_AcGaB12
_space_group_name_H-M_alt 'F m -3 m'
_space_group_IT_number 225
_space_group_name_Hall '-F 4 2 3'
_cell_length_a 8.4241
_cell_length_b 8.4241
_cell_length_c 8.4241
_cell_angle_alpha 90.00
_cell_angle_beta 90.00
_cell_angle_gamma 90.00
loop_
_atom_site_label
_atom_site_type_symbol
_atom_site_fract_x
_atom_site_fract_y
_atom_site_fract_z
_atom_site_occupancy
Ac1 Ac 0.0000 0.0000 0.0000 1
Ga1 Ga 0.0000 0.0000 0.5000 1
B1 B 0.1015 0.2500 0.2500 1
```

Main lines, low angle first (10 to 90 degrees two-theta):
hkl 1 1 1, 2θ 18.24, d = 4.864 Å, I 48; hkl 2 0 0, 2θ 21.09, d = 4.212 Å, I 63; hkl 2 2 0, 2θ 30.00, d = 2.978 Å, I 100; hkl 3 1 1, 2θ 35.34, d = 2.540 Å, I 29; hkl 2 2 2, 2θ 36.96, d = 2.432 Å, I 42; hkl 4 0 0, 2θ 42.94, d = 2.106 Å, I 22; hkl 4 2 0, 2θ 48.32, d = 1.884 Å, I 51; hkl 4 2 2, 2θ 53.27, d = 1.720 Å, I 28; hkl 4 4 2, 2θ 66.61, d = 1.404 Å, I 29; hkl 6 2 0, 2θ 70.73, d = 1.332 Å, I 20

(3)
# K2ScC
Simulated powder diffractogram, Cu Kα. Input: a GGA-PBE-relaxed structure.

Structure:
```
data_K2ScC
_space_group_name_H-M_alt 'I -4 2 d'
_space_group_IT_number 122
_space_group_name_Hall 'I -4 2bw'
_cell_length_a 12.5214
_cell_length_b 12.5214
_cell_length_c 4.1867
_cell_angle_alpha 90.00
_cell_angle_beta 90.00
_cell_angle_gamma 90.00
loop_
_atom_site_label
_atom_site_type_symbol
_atom_site_fract_x
_atom_site_fract_y
_atom_site_fract_z
_atom_site_occupancy
K1 K 0.0627 0.2500 0.1250 1
Sc1 Sc 0.0000 0.0000 0.5000 1
C1 C 0.0000 0.0000 0.0000 1
```

Main lines, low angle first (10 to 90 degrees two-theta):
hkl 2 0 0, 2θ 14.15, d = 6.261 Å, I 54; hkl 3 1 0, 2θ 22.45, d = 3.960 Å, I 52; hkl 2 1 1, 2θ 26.58, d = 3.353 Å, I 100; hkl 4 0 0, 2θ 28.51, d = 3.130 Å, I 42; hkl 4 2 0, 2θ 31.96, d = 2.800 Å, I 47; hkl 3 2 1, 2θ 33.53, d = 2.673 Å, I 27; hkl 4 1 1, 2θ 36.56, d = 2.458 Å, I 18; hkl 5 3 0, 2θ 42.06, d = 2.148 Å, I 30; hkl 6 1 1, 2θ 49.29, d = 1.849 Å, I 28; hkl 3 3 2, 2θ 53.71, d = 1.706 Å, I 17

(4)
# YSi23
Simulated powder diffractogram, Cu Kα. Input: a GGA-PBE-relaxed structure.

Structure:
```
data_YSi23
_space_group_name_H-M_alt 'P m -3 n'
_space_group_IT_number 223
_space_group_name_Hall '-P 4n 2 3'
_cell_length_a 10.2144
_cell_length_b 10.2144
_cell_length_c 10.2144
_cell_angle_alpha 90.00
_cell_angle_beta 90.00
_cell_angle_gamma 90.00
loop_
_atom_site_label
_atom_site_type_symbol
_atom_site_fract_x
_atom_site_fract_y
_atom_site_fract_z
_atom_site_occupancy
Y1 Y 0.0000 0.0000 0.0000 1
Si1 Si 0.0000 0.1160 0.3080 1
Si2 Si 0.0000 0.2500 0.5000 1
Si3 Si 0.1829 0.1829 0.1829 1
```

Main lines, low angle first (10 to 90 degrees two-theta):
hkl 1 1 0, 2θ 12.25, d = 7.223 Å, I 73; hkl 2 1 0, 2θ 19.43, d = 4.568 Å, I 43; hkl 3 2 1, 2θ 32.81, d = 2.730 Å, I 100; hkl 4 1 0, 2θ 36.26, d = 2.477 Å, I 15; hkl 3 3 0, 2θ 37.35, d = 2.408 Å, I 25; hkl 4 2 1, 2θ 40.47, d = 2.229 Å, I 14; hkl 5 3 0, 2θ 52.22, d = 1.752 Å, I 16; hkl 5 3 1, 2θ 53.04, d = 1.727 Å, I 12; hkl 6 0 0, 2θ 53.85, d = 1.702 Å, I 20; hkl 5 3 2, 2θ 55.45, d = 1.657 Å, I 43

(5)
# La2GaBi3
Simulated powder diffractogram, Cu Kα. Input: a GGA-PBE-relaxed structure.

Structure:
```
data_La2GaBi3
_space_group_name_H-M_alt 'I m m m'
_space_group_IT_number 71
_space_group_name_Hall '-I 2 2'
_cell_length_a 4.6610
_cell_length_b 6.4001
_cell_length_c 14.4389
_cell_angle_alpha 90.00
_cell_angle_beta 90.00
_cell_angle_gamma 90.00
loop_
_atom_site_label
_atom_site_type_symbol
_atom_site_fract_x
_atom_site_fract_y
_atom_site_fract_z
_atom_site_occupancy
La1 La 0.0000 0.0000 0.1657 1
Ga1 Ga 0.0000 0.0000 0.5000 1
Bi1 Bi 0.0000 0.5000 0.1690 1
Bi2 Bi 0.0000 0.5000 0.5000 1
```

Main lines, low angle first (10 to 90 degrees two-theta):
hkl 1 0 3, 2θ 26.62, d = 3.348 Å, I 100; hkl 0 2 0, 2θ 27.88, d = 3.200 Å, I 44; hkl 0 0 6, 2θ 37.37, d = 2.406 Å, I 21; hkl 2 0 0, 2θ 38.63, d = 2.331 Å, I 19; hkl 1 2 3, 2θ 38.93, d = 2.313 Å, I 74; hkl 0 2 6, 2θ 47.26, d = 1.923 Å, I 21; hkl 2 2 0, 2θ 48.31, d = 1.884 Å, I 20; hkl 2 2 6, 2θ 62.62, d = 1.483 Å, I 19; hkl 1 4 3, 2θ 64.55, d = 1.444 Å, I 17; hkl 1 2 9, 2θ 68.44, d = 1.371 Å, I 14

(6)
# Li7Cu2Pd2
Simulated powder diffractogram, Cu Kα. Input: a GGA-PBE-relaxed structure.

Structure:
```
data_Li7Cu2Pd2
_space_group_name_H-M_alt 'I m m 2'
_space_group_IT_number 44
_cell_length_a 2.7121
_cell_length_b 14.7098
_cell_length_c 8.4527
_cell_angle_alpha 90.00
_cell_angle_beta 90.00
_cell_angle_gamma 90.00
loop_
_space_group_symop_operation_xyz
'x,y,z'
'-x,-y,z'
'-x,y,z'
'x,-y,z'
'x+1/2,y+1/2,z+1/2'
'-x+1/2,-y+1/2,z+1/2'
'-x+1/2,y+1/2,z+1/2'
'x+1/2,-y+1/2,z+1/2'
loop_
_atom_site_label
_atom_site_type_symbol
_atom_site_fract_x
_atom_site_fract_y
_atom_site_fract_z
_atom_site_occupancy
Li1 Li 0.0000 0.0000 0.0000 1
Li2 Li 0.0000 0.0984 0.4646 1
Li3 Li 0.0000 0.3311 0.6825 1
Li4 Li 0.0000 0.3442 0.2615 1
Cu1 Cu 0.0000 0.0000 0.7086 1
Cu2 Cu 0.0000 0.5000 0.7632 1
Pd1 Pd 0.0000 0.2529 0.9665 1
```

Main lines, low angle first (10 to 90 degrees two-theta):
hkl 0 2 0, 2θ 12.04, d = 7.350 Å, I 12; hkl 0 4 0, 2θ 24.26, d = 3.669 Å, I 100; hkl 1 0 1, 2θ 34.74, d = 2.582 Å, I 16; hkl 1 2 1, 2θ 36.88, d = 2.437 Å, I 24; hkl 0 6 2, 2θ 42.63, d = 2.121 Å, I 18; hkl 0 0 4, 2θ 42.79, d = 2.113 Å, I 29; hkl 1 2 3, 2θ 48.19, d = 1.888 Å, I 15; hkl 0 4 4, 2θ 49.76, d = 1.832 Å, I 8; hkl 1 6 1, 2θ 51.39, d = 1.778 Å, I 8; hkl 2 4 0, 2θ 74.62, d = 1.272 Å, I 8

(7)
# UBe
Simulated powder diffractogram, Cu Kα. Input: a GGA-PBE-relaxed structure.

Structure:
```
data_UBe
_space_group_name_H-M_alt 'P 1 21/m 1'
_space_group_IT_number 11
_cell_length_a 3.1285
_cell_length_b 3.8571
_cell_length_c 5.3193
_cell_angle_alpha 90.00
_cell_angle_beta 101.57
_cell_angle_gamma 90.00
loop_
_space_group_symop_operation_xyz
'x,y,z'
'-x,-y,-z'
'-x,y+1/2,-z'
'x,-y+1/2,z'
loop_
_atom_site_label
_atom_site_type_symbol
_atom_site_fract_x
_atom_site_fract_y
_atom_site_fract_z
_atom_site_occupancy
U1 U 0.1057 0.2500 0.3642 1
Be1 Be 0.4538 0.2500 0.9012 1
```

Main lines, low angle first (10 to 90 degrees two-theta):
hkl 0 0 1, 2θ 17.01, d = 5.211 Å, I 100; hkl 0 1 1, 2θ 28.80, d = 3.100 Å, I 80; hkl 1 0 0, 2θ 29.14, d = 3.065 Å, I 41; hkl 1 0 1, 2θ 36.88, d = 2.437 Å, I 39; hkl 1 1 0, 2θ 37.48, d = 2.400 Å, I 29; hkl 1 1 -1, 2θ 38.77, d = 2.323 Å, I 69; hkl 0 1 2, 2θ 41.84, d = 2.159 Å, I 57; hkl 0 2 0, 2θ 47.12, d = 1.929 Å, I 21; hkl 1 1 -2, 2θ 47.30, d = 1.922 Å, I 18; hkl 1 2 1, 2θ 61.30, d = 1.512 Å, I 18

(8)
# Y3Sc2Bi3
Simulated powder diffractogram, Cu Kα. Input: a GGA-PBE-relaxed structure.

Structure:
```
data_Y3Sc2Bi3
_space_group_name_H-M_alt 'P 63/m c m'
_space_group_IT_number 193
_space_group_name_Hall '-P 6c 2'
_cell_length_a 8.9946
_cell_length_b 8.9946
_cell_length_c 6.2254
_cell_angle_alpha 90.00
_cell_angle_beta 90.00
_cell_angle_gamma 120.00
loop_
_atom_site_label
_atom_site_type_symbol
_atom_site_fract_x
_atom_site_fract_y
_atom_site_fract_z
_atom_site_occupancy
Y1 Y 0.0000 0.2441 0.2500 1
Sc1 Sc 0.3333 0.6667 0.0000 1
Bi1 Bi 0.0000 0.3951 0.7500 1
```

Main lines, low angle first (10 to 90 degrees two-theta):
hkl 1 1 0, 2θ 19.74, d = 4.497 Å, I 32; hkl 1 1 1, 2θ 24.42, d = 3.646 Å, I 41; hkl 0 0 2, 2θ 28.68, d = 3.113 Å, I 40; hkl 2 1 1, 2θ 33.67, d = 2.662 Å, I 100; hkl 3 0 0, 2θ 34.54, d = 2.597 Å, I 32; hkl 1 1 2, 2θ 35.06, d = 2.559 Å, I 44; hkl 3 1 1, 2θ 44.38, d = 2.041 Å, I 38; hkl 2 1 3, 2θ 54.07, d = 1.696 Å, I 26; hkl 0 0 4, 2θ 59.34, d = 1.557 Å, I 20; hkl 5 0 2, 2θ 67.20, d = 1.393 Å, I 21

(9)
# V7CoNi12
Simulated powder diffractogram, Cu Kα. Input: a GGA-PBE-relaxed structure.

Structure:
```
data_V7CoNi12
_space_group_name_H-M_alt 'R -3 m'
_space_group_IT_number 166
_space_group_name_Hall '-R 3 2"'
_cell_length_a 12.1375
_cell_length_b 12.1375
_cell_length_c 5.7714
_cell_angle_alpha 90.00
_cell_angle_beta 90.00
_cell_angle_gamma 120.00
loop_
_atom_site_label
_atom_site_type_symbol
_atom_site_fract_x
_atom_site_fract_y
_atom_site_fract_z
_atom_site_occupancy
V1 V 0.0000 0.0000 0.0000 1
V2 V 0.1108 0.2217 0.2880 1
Co1 Co 0.0000 0.0000 0.5000 1
Ni1 Ni 0.0000 0.2748 0.0000 1
Ni2 Ni 0.1096 0.5548 0.3784 1
```

Main lines, low angle first (10 to 90 degrees two-theta):
hkl 0 2 1, 2θ 22.89, d = 3.886 Å, I 18; hkl 4 0 1, 2θ 37.61, d = 2.392 Å, I 42; hkl 1 2 2, 2θ 38.56, d = 2.335 Å, I 33; hkl 3 2 1, 2θ 40.54, d = 2.225 Å, I 25; hkl 3 1 2, 2θ 44.16, d = 2.051 Å, I 37; hkl 3 3 0, 2θ 44.80, d = 2.023 Å, I 100; hkl 0 4 2, 2θ 46.75, d = 1.943 Å, I 60; hkl 0 0 3, 2θ 47.25, d = 1.924 Å, I 28; hkl 2 3 2, 2θ 49.24, d = 1.850 Å, I 33; hkl 3 3 3, 2θ 67.17, d = 1.394 Å, I 23